1.
Diffraction record for LaPS. The powder X-ray diffraction pattern is theoretical, not measured: it uses DFT lattice parameters and positions (PBE) and copper Kα.
Neutral-atom scattering factors, no anomalous dispersion.

Peak list (6 most intense, 10 to 90 degrees two-theta, sorted by position)
| two_theta | d [Å] | I/Imax |
| --- | --- | --- |
| 20.47 | 4.339 | 28 |
| 24.47 | 3.638 | 100 |
| 37.68 | 2.387 | 29 |
| 38.17 | 2.358 | 30 |
| 38.38 | 2.345 | 40 |
| 45.26 | 2.003 | 28 |

Lattice parameters (Å, degrees): 5.7176 5.6165 17.3553 90.00 90.00 90.00
Sites, in units of the cell vectors:
La 0.0154 0.2500 0.1387
La 0.0163 0.7500 0.3518
La 0.4837 0.2500 0.8518
La 0.4846 0.7500 0.6387
La 0.5154 0.2500 0.3613
La 0.5163 0.7500 0.1482
La 0.9837 0.2500 0.6482
La 0.9846 0.7500 0.8613
P 0.1897 0.0476 0.5026
P 0.1897 0.4524 0.5026
P 0.3103 0.5476 0.0026
P 0.3103 0.9524 0.0026
P 0.6897 0.0476 0.9974
P 0.6897 0.4524 0.9974
P 0.8103 0.5476 0.4974
P 0.8103 0.9524 0.4974
S 0.0126 0.7500 0.1812
S 0.0144 0.2500 0.3117
S 0.4856 0.7500 0.8117
S 0.4874 0.2500 0.6812
S 0.5126 0.7500 0.3188
S 0.5144 0.2500 0.1883
S 0.9856 0.7500 0.6883
S 0.9874 0.2500 0.8188

---

2.
Diffraction record for LaTl2P2S7. The powder X-ray diffraction pattern is theoretical, not measured: it uses DFT lattice parameters and positions (PBE) and copper Kα.
Neutral-atom scattering factors, no anomalous dispersion.

Peak list (6 most intense, 10 to 90 degrees two-theta, sorted by position)
| two_theta | d [Å] | I/Imax |
| --- | --- | --- |
| 18.76 | 4.730 | 100 |
| 24.10 | 3.692 | 45 |
| 25.47 | 3.497 | 52 |
| 26.39 | 3.377 | 47 |
| 27.98 | 3.189 | 39 |
| 32.73 | 2.736 | 39 |

Lattice parameters (Å, degrees): 11.0102 11.0102 9.4263 107.55 107.55 35.73
Sites, in units of the cell vectors:
La 0.1526 0.1526 0.3384
La 0.8474 0.8474 0.6616
Tl 0.1867 0.1867 0.8267
Tl 0.4900 0.4900 0.2468
Tl 0.5100 0.5100 0.7532
Tl 0.8133 0.8133 0.1733
P 0.0461 0.0461 0.9661
P 0.3352 0.3352 0.4313
P 0.6648 0.6648 0.5687
P 0.9539 0.9539 0.0339
S 0.0108 0.0108 0.7402
S 0.1467 0.6550 0.9396
S 0.1531 0.6396 0.4588
S 0.2663 0.2663 0.2212
S 0.2865 0.2865 0.5911
S 0.3450 0.8533 0.0604
S 0.3604 0.8469 0.5412
S 0.6396 0.1531 0.4588
S 0.6550 0.1467 0.9396
S 0.7135 0.7135 0.4089
S 0.7337 0.7337 0.7788
S 0.8469 0.3604 0.5412
S 0.8533 0.3450 0.0604
S 0.9892 0.9892 0.2598

---

3.
Diffraction record for LaZn3P3. The powder X-ray diffraction pattern is theoretical, not measured: it uses DFT lattice parameters and positions (PBE) and copper Kα.
Neutral-atom scattering factors, no anomalous dispersion.

Peak list (6 most intense, 10 to 90 degrees two-theta, sorted by position)
| two_theta | d [Å] | I/Imax |
| --- | --- | --- |
| 26.72 | 3.336 | 100 |
| 30.88 | 2.896 | 66 |
| 33.69 | 2.660 | 41 |
| 36.87 | 2.438 | 56 |
| 44.39 | 2.041 | 76 |
| 58.11 | 1.587 | 45 |

Lattice parameters (Å, degrees): 4.0814 4.0814 20.2046 90.00 90.00 120.00
Sites, in units of the cell vectors:
La 0.0000 0.0000 0.0000
La 0.0000 0.0000 0.5000
Zn 0.3333 0.6667 0.1299
Zn 0.3333 0.6667 0.3701
Zn 0.3333 0.6667 0.7500
Zn 0.6667 0.3333 0.2500
Zn 0.6667 0.3333 0.6299
Zn 0.6667 0.3333 0.8701
P 0.3333 0.6667 0.2500
P 0.3333 0.6667 0.5882
P 0.3333 0.6667 0.9118
P 0.6667 0.3333 0.0882
P 0.6667 0.3333 0.4118
P 0.6667 0.3333 0.7500

---

4.
Diffraction record for La5Pb3. The powder X-ray diffraction pattern is theoretical, not measured: it uses DFT lattice parameters and positions (PBE) and copper Kα.
Neutral-atom scattering factors, no anomalous dispersion.

Peak list (6 most intense, 10 to 90 degrees two-theta, sorted by position)
| two_theta | d [Å] | I/Imax |
| --- | --- | --- |
| 25.43 | 3.502 | 28 |
| 31.01 | 2.884 | 100 |
| 31.54 | 2.836 | 80 |
| 32.07 | 2.791 | 52 |
| 40.94 | 2.204 | 24 |
| 48.45 | 1.879 | 29 |

Lattice parameters (Å, degrees): 9.6694 9.6694 7.0045 90.00 90.00 120.00
Sites, in units of the cell vectors:
La 0.0000 0.2466 0.2500
La 0.0000 0.7534 0.7500
La 0.2466 0.0000 0.2500
La 0.2466 0.2466 0.7500
La 0.3333 0.6667 0.0000
La 0.3333 0.6667 0.5000
La 0.6667 0.3333 0.0000
La 0.6667 0.3333 0.5000
La 0.7534 0.0000 0.7500
La 0.7534 0.7534 0.2500
Pb 0.0000 0.3894 0.7500
Pb 0.0000 0.6106 0.2500
Pb 0.3894 0.0000 0.7500
Pb 0.3894 0.3894 0.2500
Pb 0.6106 0.0000 0.2500
Pb 0.6106 0.6106 0.7500

---

5.
Diffraction record for La4Pb3. The powder X-ray diffraction pattern is theoretical, not measured: it uses DFT lattice parameters and positions (PBE) and copper Kα.
Neutral-atom scattering factors, no anomalous dispersion.

Peak list (6 most intense, 10 to 90 degrees two-theta, sorted by position)
| two_theta | d [Å] | I/Imax |
| --- | --- | --- |
| 28.44 | 3.138 | 100 |
| 33.79 | 2.652 | 64 |
| 40.66 | 2.219 | 21 |
| 46.67 | 1.946 | 21 |
| 57.22 | 1.610 | 32 |
| 69.61 | 1.351 | 21 |

Lattice parameters (Å, degrees): 8.5949 8.5949 8.5949 109.47 109.47 109.47
Sites, in units of the cell vectors:
La 0.0000 0.3574 0.5000
La 0.0000 0.8574 0.5000
La 0.1426 0.1426 0.1426
La 0.3574 0.5000 0.0000
La 0.5000 0.0000 0.3574
La 0.5000 0.0000 0.8574
La 0.6426 0.6426 0.6426
La 0.8574 0.5000 0.0000
Pb 0.1250 0.7500 0.8750
Pb 0.2500 0.6250 0.3750
Pb 0.3750 0.2500 0.6250
Pb 0.6250 0.3750 0.2500
Pb 0.7500 0.8750 0.1250
Pb 0.8750 0.1250 0.7500

---

6.
Diffraction record for LaPb3. The powder X-ray diffraction pattern is theoretical, not measured: it uses DFT lattice parameters and positions (PBE) and copper Kα.
Neutral-atom scattering factors, no anomalous dispersion.

Peak list (6 most intense, 10 to 90 degrees two-theta, sorted by position)
| two_theta | d [Å] | I/Imax |
| --- | --- | --- |
| 31.18 | 2.868 | 100 |
| 36.16 | 2.484 | 51 |
| 52.07 | 1.757 | 37 |
| 61.95 | 1.498 | 44 |
| 85.12 | 1.140 | 19 |
| 87.88 | 1.111 | 18 |

Lattice parameters (Å, degrees): 4.9683 4.9683 4.9683 90.00 90.00 90.00
Sites, in units of the cell vectors:
La 0.0000 0.0000 0.0000
Pb 0.0000 0.5000 0.5000
Pb 0.5000 0.0000 0.5000
Pb 0.5000 0.5000 0.0000

---

7.
Diffraction record for La2Pd2Pb. The powder X-ray diffraction pattern is theoretical, not measured: it uses DFT lattice parameters and positions (PBE) and copper Kα.
Neutral-atom scattering factors, no anomalous dispersion.

Peak list (6 most intense, 10 to 90 degrees two-theta, sorted by position)
| two_theta | d [Å] | I/Imax |
| --- | --- | --- |
| 31.46 | 2.843 | 24 |
| 31.67 | 2.825 | 69 |
| 33.62 | 2.665 | 100 |
| 35.29 | 2.543 | 68 |
| 59.03 | 1.565 | 31 |
| 63.46 | 1.466 | 23 |

Lattice parameters (Å, degrees): 8.0426 8.0426 3.9699 90.00 90.00 90.00
Sites, in units of the cell vectors:
La 0.1780 0.3220 0.0000
La 0.3220 0.8220 0.0000
La 0.6780 0.1780 0.0000
La 0.8220 0.6780 0.0000
Pd 0.1240 0.6240 0.5000
Pd 0.3760 0.1240 0.5000
Pd 0.6240 0.8760 0.5000
Pd 0.8760 0.3760 0.5000
Pb 0.0000 0.0000 0.5000
Pb 0.5000 0.5000 0.5000